Starting from a DFT-relaxed cell (GGA-PBE, the Materials Project), the XRD peak list of TlBr was computed for Cu Kα.

Structural model:
```
data_TlBr
_cell_length_a 4.057
_cell_length_b 4.057
_cell_length_c 4.057
_cell_angle_alpha 90.00
_cell_angle_beta 90.00
_cell_angle_gamma 90.00
_symmetry_space_group_name_H-M 'P 1'
_symmetry_Int_Tables_number 1
_symmetry_space_group_name_Hall 'P 1'
loop_
_atom_site_label
_atom_site_type_symbol
_atom_site_fract_x
_atom_site_fract_y
_atom_site_fract_z
Tl1 Tl 0.000 0.000 0.000
Br1 Br 0.500 0.500 0.500
```

Main lines, low angle first (10° ≤ 2θ ≤ 90°):
2θ/deg  I (rel.)
21.91  20
31.18  100
38.43  7
44.67  19
50.29  10
55.48  40
65.02  12
69.51  5
73.87  17
82.33  4